Starting from a DFT-relaxed cell (PBE, Alexandria), the X-ray powder pattern of La2Nd4Dy2Ho was computed for CuKα.
Kinematic intensities with the Lorentz-polarization factor, no thermal factor.

Structural model:
Lattice parameters (Å, degrees): 9.7135 9.7135 9.7708 115.18 115.18 21.88
Fractional coordinates of all 9 atoms:
La1 0.1654 0.1654 0.4981
La2 0.8346 0.8346 0.5019
Nd1 0.0185 0.0185 0.8349
Nd2 0.3142 0.3142 0.1661
Nd3 0.6858 0.6858 0.8339
Nd4 0.9815 0.9815 0.1651
Dy1 0.3521 0.3521 0.8339
Dy2 0.6479 0.6479 0.1661
Ho1 0.5000 0.5000 0.5000

Most intense lines, 10 to 90 degrees two-theta, sorted by position:
2θ 28.21, I 36
2θ 30.45, I 50
2θ 31.17, I 100
2θ 32.82, I 89
2θ 49.61, I 26
2θ 59.34, I 30